No. 1
This entry pairs a crystal structure of Na2TbGaBr6 with its calculated powder XRD pattern. Radiation: Cu Kα, 1.54184 Å. Structure: a crystal structure in Alexandria, relaxed with GGA-PBE.
Lines closer than 0.1° are merged.

Cell and atoms:
Lattice parameters (Å, degrees): 7.5077 7.5077 20.4872 90.00 90.00 120.00
Space group R3 (No. 146, hexagonal axes)
Symmetry-distinct sites (fractional):
Na  0.0000  0.0000  0.0000 [3 per cell]
Na  0.0000  0.0000  0.4888 [3 per cell]
Tb  0.0000  0.0000  0.6832 [3 per cell]
Ga  0.0000  0.0000  0.1952 [3 per cell]
Br  0.0051  0.3583  0.4223 [9 per cell]
Br  0.0127  0.7117  0.5956 [9 per cell]

Top 10 peaks for 2θ from 5° to 70°, low angle first:
2θ/deg, d/Å, I_rel
14.29, 6.197, 20
16.15, 5.489, 52
22.09, 4.023, 19
27.11, 3.290, 100
32.62, 2.745, 16
35.54, 2.526, 67
40.72, 2.216, 16
41.67, 2.167, 45
46.67, 1.946, 24
55.90, 1.645, 16

=====

No. 2
This entry pairs a crystal structure of Sm13Er2 with its calculated powder XRD pattern. Radiation: Cu Kα, 1.54184 Å. Structure: a crystal structure in Alexandria, relaxed with GGA-PBE.
Lines closer than 0.1° are merged.

Cell and atoms:
Lattice parameters (Å, degrees): 6.708 9.063 9.064 66.21 82.12 82.08
Space group P-1 (No. 2)
Symmetry-distinct sites (fractional):
Sm  0.000  0.000  0.000 [1 per cell]
Sm  0.102  0.437  0.764 [2 per cell]
Sm  0.195  0.195  0.207 [2 per cell]
Sm  0.298  0.629  0.973 [2 per cell]
Sm  0.305  0.961  0.638 [2 per cell]
Sm  0.397  0.398  0.405 [2 per cell]
Sm  0.497  0.168  0.835 [2 per cell]
Er  0.098  0.770  0.430 [2 per cell]

Top 10 peaks for 2θ from 5° to 70°, low angle first:
2θ/deg, d/Å, I_rel
25.33, 3.516, 5
31.23, 2.864, 100
31.30, 2.858, 54
40.69, 2.218, 9
44.79, 2.024, 22
52.03, 1.758, 7
55.66, 1.651, 39
61.97, 1.497, 15
62.00, 1.497, 8
65.30, 1.429, 10

=====

No. 3
This entry pairs a crystal structure of Ho5ScAl2 with its calculated powder XRD pattern. Radiation: Cu Kα, 1.54184 Å. Structure: a crystal structure in Alexandria, relaxed with GGA-PBE.
Lines closer than 0.1° are merged.

Cell and atoms:
Lattice parameters (Å, degrees): 5.1839 5.1839 19.2900 90.00 90.00 120.00
Space group P6_3/mmc (No. 194)
Symmetry-distinct sites (fractional):
Ho  0.0000  0.0000  0.1576 [4 per cell]
Ho  0.3333  0.6667  0.0540 [4 per cell]
Ho  0.3333  0.6667  0.2500 [2 per cell]
Sc  0.3333  0.6667  0.7500 [2 per cell]
Al  0.3333  0.6667  0.6042 [4 per cell]

Top 10 peaks for 2θ from 5° to 70°, low angle first:
2θ/deg, d/Å, I_rel
20.31, 4.373, 24
21.84, 4.070, 19
27.14, 3.286, 51
30.55, 2.926, 50
34.31, 2.614, 62
34.61, 2.592, 100
49.53, 1.840, 22
59.76, 1.547, 29
61.82, 1.501, 23
62.02, 1.496, 18

=====

No. 4
This entry pairs a crystal structure of Ce4Hg4Pb3 with its calculated powder XRD pattern. Radiation: Cu Kα, 1.54184 Å. Structure: a crystal structure in Alexandria, relaxed with GGA-PBE.
Lines closer than 0.1° are merged.

Cell and atoms:
Lattice parameters (Å, degrees): 4.202 8.112 19.432 90.00 90.00 90.00
Space group Immm (No. 71)
Symmetry-distinct sites (fractional):
Ce  0.000  0.000  0.247 [4 per cell]
Ce  0.000  0.168  0.000 [4 per cell]
Hg  0.000  0.315  0.152 [8 per cell]
Pb  0.000  0.000  0.500 [2 per cell]
Pb  0.000  0.500  0.382 [4 per cell]

Top 10 peaks for 2θ from 5° to 70°, low angle first:
2θ/deg, d/Å, I_rel
30.20, 2.959, 100
30.99, 2.886, 54
35.47, 2.531, 13
35.99, 2.495, 43
37.01, 2.429, 15
43.05, 2.101, 23
45.07, 2.011, 24
57.32, 1.607, 23
62.91, 1.477, 13
64.48, 1.445, 18